1.
# Ti3O5
Simulated powder diffractogram, Cu Kα X-rays. Input: a structure optimized by DFT (GGA-PBE).
Intensities are scaled so that the largest is 100.

Atomic structure:
Cell: 9.8406 3.8537 9.3484 Å, 90.00 91.07 90.00°
Space group C2/m (No. 12)
Inequivalent atoms, fractional coordinates:
Ti (0.0557, 0.0000, 0.3604)
Ti (0.1314, 0.0000, 0.0450)
Ti (0.2188, 0.0000, 0.7372)
O (0.0420, 0.0000, 0.8481)
O (0.0892, 0.5000, 0.3404)
O (0.1286, 0.0000, 0.5574)
O (0.1734, 0.5000, 0.0546)
O (0.2435, 0.0000, 0.2432)

Top 10 peaks for 2θ = 5–70°, most intense first:
Position (°2θ)	d/Å	I/Imax	h k l
24.81	3.588	100.0	1 1 0
41.15	2.194	53.3	4 0 -2
43.17	2.096	48.6	2 0 4
47.17	1.927	43.4	0 2 0
28.65	3.116	27.4	0 0 3
20.56	4.320	26.5	2 0 1
55.71	1.650	25.0	5 1 -2
64.35	1.448	22.3	4 2 -2
65.85	1.418	21.8	2 2 4
62.15	1.494	21.4	2 0 -6

2.
# TiO2
Simulated powder diffractogram, Cu Kα X-rays. Input: a structure optimized by DFT (GGA-PBE).
Intensities are scaled so that the largest is 100.

Atomic structure:
Cell: 3.8070 3.8070 9.7115 Å, 90.00 90.00 90.00°
Space group I4_1/amd (No. 141, origin choice 2)
Inequivalent atoms, fractional coordinates:
Ti (0.0000, 0.2500, 0.3750)
O (0.0000, 0.2500, 0.1684)

Top 10 peaks for 2θ = 5–70°, most intense first:
Position (°2θ)	d/Å	I/Imax	h k l
25.12	3.544	100.0	1 0 1
47.78	1.904	29.1	2 0 0
37.03	2.428	20.6	0 0 4
52.92	1.730	19.9	1 0 5
54.74	1.677	18.6	2 1 1
61.95	1.498	14.6	2 0 4
69.89	1.346	7.4	2 2 0
67.53	1.387	7.3	1 1 6
38.23	2.354	7.2	1 1 2
36.43	2.466	5.9	1 0 3

3.
# Ti6O
Simulated powder diffractogram, Cu Kα X-rays. Input: a structure optimized by DFT (GGA-PBE).
Intensities are scaled so that the largest is 100.

Atomic structure:
Cell: 5.1130 5.1130 4.7509 Å, 90.00 90.00 120.00°
Space group P-31m (No. 162)
Inequivalent atoms, fractional coordinates:
Ti (0.0000, 0.3316, 0.2608)
O (0.0000, 0.0000, 0.0000)

Top 8 peaks for 2θ = 5–70°, most intense first:
Position (°2θ)	d/Å	I/Imax	h k l
40.05	2.251	100.0	2 -1 1
37.87	2.375	22.8	0 0 2
35.10	2.556	19.2	1 1 0
52.59	1.740	17.4	1 1 2
62.97	1.476	16.7	3 0 0
69.87	1.346	15.6	2 -1 3
20.05	4.428	2.1	1 0 0
27.54	3.239	1.4	1 0 1

4.
# Ti11O18
Simulated powder diffractogram, Cu Kα X-rays. Input: a structure optimized by DFT (GGA-PBE).
Intensities are scaled so that the largest is 100.

Atomic structure:
Cell: 5.5151 7.4982 8.7963 Å, 113.05 105.45 96.26°
Space group P1 (No. 1)
Inequivalent atoms, fractional coordinates:
Ti (0.0000, 0.0000, 0.0000)
Ti (0.9998, 0.4956, 0.9954)
Ti (0.2727, 0.8587, 0.3464)
Ti (0.2775, 0.3673, 0.3333)
Ti (0.3295, 0.3328, 0.6606)
Ti (0.5983, 0.1766, 0.9793)
Ti (0.6013, 0.6898, 0.9887)
Ti (0.6586, 0.6604, 0.3260)
Ti (0.6603, 0.1643, 0.3295)
Ti (0.9483, 0.0168, 0.6677)
Ti (0.9563, 0.5408, 0.6642)
O (0.0075, 0.3035, 0.1032)
O (0.0287, 0.3293, 0.4540)
O (0.0321, 0.3198, 0.7654)
O (0.2275, 0.0438, 0.5537)
O (0.2351, 0.0432, 0.8801)
O (0.2630, 0.0523, 0.2288)
O (0.3327, 0.6280, 0.7765)
O (0.3484, 0.6463, 0.4110)
O (0.3656, 0.6593, 0.1201)
O (0.5725, 0.3627, 0.2223)
O (0.5766, 0.3677, 0.5386)
O (0.5971, 0.3876, 0.8915)
O (0.6784, 0.9690, 0.4361)
O (0.6956, 0.9892, 0.0996)
O (0.7257, 0.0105, 0.7971)
O (0.9020, 0.7181, 0.5540)
O (0.9053, 0.6992, 0.2027)
O (0.9051, 0.6986, 0.8931)

Top 10 peaks for 2θ = 5–70°, most intense first:
Position (°2θ)	d/Å	I/Imax	h k l
53.31	1.719	100.0	2 -2 3
32.69	2.739	94.2	-1 2 1
35.32	2.541	74.5	1 2 0
23.88	3.726	70.5	1 0 1
40.42	2.232	45.5	2 1 -3
48.89	1.863	37.0	2 0 -4
63.37	1.468	30.5	2 4 -3
61.70	1.503	15.3	0 4 1
63.45	1.466	15.1	1 2 -6
61.78	1.502	14.3	1 -2 5

5.
# Ti3O
Simulated powder diffractogram, Cu Kα X-rays. Input: a structure optimized by DFT (GGA-PBE).
Intensities are scaled so that the largest is 100.

Atomic structure:
Cell: 5.1613 5.1613 9.4962 Å, 90.00 90.00 120.00°
Space group P-31c (No. 163)
Inequivalent atoms, fractional coordinates:
Ti (0.0052, 0.3336, 0.1174)
O (0.0000, 0.0000, 0.2500)
O (0.3333, 0.6667, 0.2500)

Top 9 peaks for 2θ = 5–70°, most intense first:
Position (°2θ)	d/Å	I/Imax	h k l
39.75	2.267	100.0	1 1 2
52.37	1.747	20.7	2 -1 4
37.90	2.374	18.8	0 0 4
62.32	1.490	18.4	3 0 0
34.76	2.581	14.5	1 1 0
69.70	1.349	14.5	1 1 6
21.98	4.044	2.8	1 0 1
58.30	1.583	0.9	0 0 6
19.86	4.470	0.7	1 0 0

6.
# Ti8O15
Simulated powder diffractogram, Cu Kα X-rays. Input: a structure optimized by DFT (GGA-PBE).
Intensities are scaled so that the largest is 100.

Atomic structure:
Cell: 5.5814 7.1947 13.4884 Å, 100.32 96.34 108.63°
Space group P-1 (No. 2)
Inequivalent atoms, fractional coordinates:
Ti (0.0094, 0.3108, 0.3095)
Ti (0.0122, 0.8109, 0.3085)
Ti (0.2746, 0.7787, 0.9515)
Ti (0.2761, 0.2779, 0.9548)
Ti (0.3301, 0.3981, 0.5645)
Ti (0.3335, 0.8984, 0.5639)
Ti (0.3558, 0.0270, 0.1802)
Ti (0.3569, 0.5315, 0.1801)
O (0.0122, 0.6486, 0.8411)
O (0.0356, 0.2768, 0.4454)
O (0.0717, 0.8553, 0.0482)
O (0.0831, 0.4452, 0.6538)
O (0.1051, 0.0668, 0.2573)
O (0.2316, 0.1392, 0.6101)
O (0.2675, 0.7658, 0.2170)
O (0.2813, 0.3234, 0.8214)
O (0.3041, 0.9309, 0.4227)
O (0.3109, 0.5577, 0.0238)
O (0.3521, 0.8556, 0.7115)
O (0.3772, 0.4805, 0.3120)
O (0.4104, 0.0484, 0.9200)
O (0.4158, 0.2614, 0.1076)
O (0.4296, 0.6545, 0.5233)

Top 10 peaks for 2θ = 5–70°, most intense first:
Position (°2θ)	d/Å	I/Imax	h k l
29.02	3.077	100.0	1 0 3
28.02	3.185	74.3	-1 2 1
26.37	3.380	66.8	1 -2 0
53.34	1.718	56.1	-3 2 3
23.71	3.753	42.1	1 0 2
54.07	1.696	40.6	2 0 5
35.60	2.522	39.7	1 0 -5
35.89	2.502	35.4	1 2 -2
40.61	2.222	33.1	0 1 -6
34.75	2.581	30.7	2 0 -2

7.
# Ti9O10
Simulated powder diffractogram, Cu Kα X-rays. Input: a structure optimized by DFT (GGA-PBE).
Intensities are scaled so that the largest is 100.

Atomic structure:
Cell: 4.5155 5.5248 8.9377 Å, 99.65 90.36 111.40°
Space group P-1 (No. 2)
Inequivalent atoms, fractional coordinates:
Ti (0.0000, 0.0000, 0.0000)
Ti (0.0812, 0.1670, 0.6571)
Ti (0.1958, 0.5341, 0.1044)
Ti (0.2695, 0.5145, 0.4105)
Ti (0.3709, 0.7925, 0.7288)
O (0.1125, 0.7967, 0.5459)
O (0.1991, 0.3052, 0.8905)
O (0.2240, 0.2316, 0.2107)
O (0.2549, 0.7752, 0.9407)
O (0.3981, 0.8224, 0.2943)

Top 10 peaks for 2θ = 5–70°, most intense first:
Position (°2θ)	d/Å	I/Imax	h k l
39.98	2.255	100.0	2 -1 0
32.48	2.757	74.1	1 1 -1
36.91	2.435	73.0	-1 2 1
37.66	2.388	70.8	0 2 -2
36.48	2.463	47.3	1 -1 3
38.21	2.355	38.5	0 1 3
35.47	2.531	35.5	1 1 1
30.52	2.929	33.5	0 0 3
28.32	3.151	33.3	1 0 -2
21.19	4.193	32.4	1 0 0

8.
# Ti2O3
Simulated powder diffractogram, Cu Kα X-rays. Input: a structure optimized by DFT (GGA-PBE).
Intensities are scaled so that the largest is 100.

Atomic structure:
Cell: 7.6813 2.9981 13.3550 Å, 90.00 98.87 90.00°
Space group P2_1/m (No. 11)
Inequivalent atoms, fractional coordinates:
Ti (0.0113, 0.2500, 0.1011)
Ti (0.0415, 0.7500, 0.6176)
Ti (0.3083, 0.2500, 0.4828)
Ti (0.3195, 0.2500, 0.7754)
Ti (0.3420, 0.7500, 0.2809)
Ti (0.3656, 0.2500, 0.0637)
O (0.1152, 0.7500, 0.4676)
O (0.1316, 0.2500, 0.9715)
O (0.1382, 0.7500, 0.7846)
O (0.1920, 0.2500, 0.3250)
O (0.2157, 0.7500, 0.1331)
O (0.2283, 0.2500, 0.6260)
O (0.4473, 0.2500, 0.9218)
O (0.4501, 0.7500, 0.4243)
O (0.4950, 0.2500, 0.2354)

Top 10 peaks for 2θ = 5–70°, most intense first:
Position (°2θ)	d/Å	I/Imax	h k l
33.16	2.701	100.0	2 0 -4
31.19	2.868	81.3	1 0 4
59.87	1.545	79.3	2 1 -7
49.19	1.852	75.3	3 1 -3
54.00	1.698	68.5	3 1 3
38.23	2.354	58.0	2 1 -1
60.86	1.522	50.1	1 1 7
61.90	1.499	44.5	0 2 0
46.67	1.946	44.3	3 1 -1
36.26	2.477	41.8	0 1 3

9.
# TiO2
Simulated powder diffractogram, Cu Kα X-rays. Input: a structure optimized by DFT (GGA-PBE).
Intensities are scaled so that the largest is 100.

Atomic structure:
Cell: 8.8127 8.8127 3.7776 Å, 90.00 90.00 90.00°
Space group I4/m (No. 87)
Inequivalent atoms, fractional coordinates:
Ti (0.0115, 0.2905, 0.0000)
O (0.0067, 0.6521, 0.5000)
O (0.1562, 0.8380, 0.0000)

Top 10 peaks for 2θ = 5–70°, most intense first:
Position (°2θ)	d/Å	I/Imax	h k l
28.65	3.116	100.0	2 2 0
14.21	6.231	86.7	1 1 0
25.66	3.472	77.1	1 0 1
32.84	2.727	76.6	2 1 1
43.57	2.077	59.9	3 3 0
57.72	1.597	34.0	4 3 1
48.18	1.889	33.8	0 0 2
61.78	1.502	32.7	2 5 1
66.96	1.397	25.3	3 3 2
57.02	1.615	23.8	2 2 2

10.
# Ti4O
Simulated powder diffractogram, Cu Kα X-rays. Input: a structure optimized by DFT (GGA-PBE).
Intensities are scaled so that the largest is 100.

Atomic structure:
Cell: 5.5640 5.2853 5.5483 Å, 90.00 117.10 90.00°
Space group P2_1/c (No. 14)
Inequivalent atoms, fractional coordinates:
Ti (0.1038, 0.1697, 0.3718)
Ti (0.3942, 0.6395, 0.6410)
O (0.0000, 0.0000, 0.0000)

Top 10 peaks for 2θ = 5–70°, most intense first:
Position (°2θ)	d/Å	I/Imax	h k l
40.26	2.240	100.0	0 1 2
39.02	2.308	70.7	1 2 -1
37.97	2.370	37.4	2 0 -2
35.31	2.542	24.6	1 1 1
61.60	1.506	19.2	1 3 1
52.89	1.731	13.0	1 1 -3
52.74	1.736	12.2	3 1 -1
69.29	1.356	10.4	3 2 -3
64.27	1.449	8.4	2 0 2
51.82	1.764	6.4	2 2 -2

11.
# TiO2
Simulated powder diffractogram, Cu Kα X-rays. Input: a structure optimized by DFT (GGA-PBE).
Intensities are scaled so that the largest is 100.

Atomic structure:
Cell: 12.2938 3.7644 6.6319 Å, 90.00 107.01 90.00°
Space group C2/m (No. 12)
Inequivalent atoms, fractional coordinates:
Ti (0.1006, 0.0000, 0.2099)
Ti (0.1942, 0.0000, 0.7820)
O (0.0582, 0.0000, 0.8700)
O (0.1327, 0.0000, 0.5033)
O (0.1386, 0.5000, 0.2065)
O (0.2357, 0.5000, 0.8459)

Top 10 peaks for 2θ = 5–70°, most intense first:
Position (°2θ)	d/Å	I/Imax	h k l
24.84	3.585	100.0	1 1 0
28.14	3.171	59.5	0 0 2
13.96	6.342	39.3	0 0 1
48.36	1.882	37.8	0 2 0
29.52	3.026	35.4	4 0 -1
15.07	5.878	33.7	2 0 0
42.78	2.114	28.6	0 0 3
44.21	2.049	27.2	6 0 -1
57.97	1.591	24.1	7 1 -1
33.16	2.702	20.6	3 1 -1